TmS6I2: theoretical powder XRD pattern (Cu Kα (λ = 1.5418 Å)), based on a structure optimized by DFT (GGA-PBE).
Lines closer than 0.1° are merged.

Peak list (6 most intense, 10° ≤ 2θ ≤ 80°, low angle first)
hkl 0 0 1, 2θ = 11.01°, d = 8.039 Å, I = 100; hkl 0 1 0, 2θ = 11.40°, d = 7.764 Å, I = 92; hkl 0 1 -1, 2θ = 11.53°, d = 7.678 Å, I = 90; hkl 0 1 1, 2θ = 19.28°, d = 4.604 Å, I = 92; hkl 1 1 -2, 2θ = 27.79°, d = 3.210 Å, I = 62; hkl 0 1 2, 2θ = 29.48°, d = 3.030 Å, I = 54

```
data_TmS6I2
_chemical_formula_sum 'Tm1 S6 I2'
_cell_length_a 4.3424
_cell_length_b 8.8097
_cell_length_c 9.1256
_cell_angle_alpha 117.92
_cell_angle_beta 92.88
_cell_angle_gamma 92.37
_symmetry_space_group_name_H-M 'P -1'
_symmetry_Int_Tables_number 2
loop_
_symmetry_equiv_pos_as_xyz
'x,y,z'
'-x,-y,-z'
loop_
_atom_site_label
_atom_site_fract_x
_atom_site_fract_y
_atom_site_fract_z
Tm1 0.0000 0.0000 0.0000
S1 0.0895 0.5075 0.7250
S2 0.0934 0.7094 0.4648
S3 0.1290 0.2943 0.2919
I1 0.4975 0.8672 0.1407
```


USI: theoretical powder XRD pattern (Cu Kα (λ = 1.5418 Å)), based on a structure optimized by DFT (GGA-PBE).
Lines closer than 0.1° are merged.

Peak list (6 most intense, 10° ≤ 2θ ≤ 80°, low angle first)
hkl 1 0 0, 2θ = 22.93°, d = 3.879 Å, I = 100; hkl 0 0 2, 2θ = 29.15°, d = 3.064 Å, I = 41; hkl 1 1 0, 2θ = 32.65°, d = 2.743 Å, I = 61; hkl 1 0 2, 2θ = 37.41°, d = 2.404 Å, I = 59; hkl 1 1 2, 2θ = 44.33°, d = 2.043 Å, I = 54; hkl 2 0 2, 2θ = 56.13°, d = 1.639 Å, I = 30

```
data_USI
_chemical_formula_sum 'U1 S1 I1'
_cell_length_a 3.8788
_cell_length_b 3.8788
_cell_length_c 6.1274
_cell_angle_alpha 90.00
_cell_angle_beta 90.00
_cell_angle_gamma 90.00
_symmetry_space_group_name_H-M 'P 4/m m m'
_symmetry_Int_Tables_number 123
_symmetry_space_group_name_Hall '-P 4 2'
loop_
_atom_site_label
_atom_site_fract_x
_atom_site_fract_y
_atom_site_fract_z
U1 0.0000 0.0000 0.0000
S1 0.5000 0.5000 0.0000
I1 0.0000 0.0000 0.5000
```


VS8I2: theoretical powder XRD pattern (Cu Kα (λ = 1.5418 Å)), based on a structure optimized by DFT (GGA-PBE).
Lines closer than 0.1° are merged.

Peak list (6 most intense, 10° ≤ 2θ ≤ 80°, low angle first)
hkl 0 1 0, 2θ = 14.29°, d = 6.200 Å, I = 85; hkl 0 1 1, 2θ = 14.97°, d = 5.916 Å, I = 100; hkl 0 1 -1, 2θ = 16.18°, d = 5.477 Å, I = 67; hkl 0 0 5, 2θ = 31.43°, d = 2.847 Å, I = 48; hkl 1 -1 0, 2θ = 31.86°, d = 2.809 Å, I = 53; hkl 1 2 1, 2θ = 32.28°, d = 2.773 Å, I = 44

```
data_VS8I2
_chemical_formula_sum 'V1 S8 I2'
_cell_length_a 3.7945
_cell_length_b 6.5021
_cell_length_c 14.3137
_cell_angle_alpha 83.97
_cell_angle_beta 89.15
_cell_angle_gamma 73.50
_symmetry_space_group_name_H-M 'P -1'
_symmetry_Int_Tables_number 2
loop_
_symmetry_equiv_pos_as_xyz
'x,y,z'
'-x,-y,-z'
loop_
_atom_site_label
_atom_site_fract_x
_atom_site_fract_y
_atom_site_fract_z
V1 0.0000 0.0000 0.0000
S1 0.0267 0.8490 0.1566
S2 0.3237 0.2904 0.1763
S3 0.3864 0.2360 0.0341
S4 0.4682 0.5698 0.1837
I1 0.4914 0.5169 0.4031
```


SbI3: theoretical powder XRD pattern (Cu Kα (λ = 1.5418 Å)), based on a structure optimized by DFT (GGA-PBE).
Lines closer than 0.1° are merged.

Peak list (6 most intense, 10° ≤ 2θ ≤ 80°, low angle first)
hkl 0 0 1, 2θ = 11.63°, d = 7.606 Å, I = 26; hkl 2 0 0, 2θ = 24.58°, d = 3.622 Å, I = 37; hkl 1 3 1, 2θ = 28.12°, d = 3.174 Å, I = 100; hkl 1 3 -3, 2θ = 39.42°, d = 2.286 Å, I = 27; hkl 0 6 0, 2θ = 40.93°, d = 2.205 Å, I = 35; hkl 4 0 0, 2θ = 50.39°, d = 1.811 Å, I = 20

```
data_SbI3
_chemical_formula_sum 'Sb4 I12'
_cell_length_a 7.6366
_cell_length_b 13.2337
_cell_length_c 8.0227
_cell_angle_alpha 90.00
_cell_angle_beta 108.54
_cell_angle_gamma 90.00
_symmetry_space_group_name_H-M 'C 1 2/m 1'
_symmetry_Int_Tables_number 12
loop_
_symmetry_equiv_pos_as_xyz
'x,y,z'
'-x,-y,-z'
'-x,y,-z'
'x,-y,z'
'x+1/2,y+1/2,z'
'-x+1/2,-y+1/2,-z'
'-x+1/2,y+1/2,-z'
'x+1/2,-y+1/2,z'
loop_
_atom_site_label
_atom_site_fract_x
_atom_site_fract_y
_atom_site_fract_z
Sb1 0.0000 0.1667 0.0000
I1 0.2266 0.0000 0.2363
I2 0.2460 0.1759 0.7651
```


Sb6I: theoretical powder XRD pattern (Cu Kα (λ = 1.5418 Å)), based on a structure optimized by DFT (GGA-PBE).
Lines closer than 0.1° are merged.

Peak list (6 most intense, 10° ≤ 2θ ≤ 80°, low angle first)
hkl 2 0 0, 2θ = 21.17°, d = 4.197 Å, I = 42; hkl 2 1 1, 2θ = 26.00°, d = 3.427 Å, I = 100; hkl 2 2 2, 2θ = 37.10°, d = 2.423 Å, I = 35; hkl 3 2 1, 2θ = 40.20°, d = 2.243 Å, I = 62; hkl 4 0 0, 2θ = 43.11°, d = 2.098 Å, I = 34; hkl 4 4 0, 2θ = 62.60°, d = 1.484 Å, I = 22

```
data_Sb6I
_chemical_formula_sum 'Sb12 I2'
_cell_length_a 8.3939
_cell_length_b 8.3939
_cell_length_c 8.3939
_cell_angle_alpha 90.00
_cell_angle_beta 90.00
_cell_angle_gamma 90.00
_symmetry_space_group_name_H-M 'I m -3 m'
_symmetry_Int_Tables_number 229
_symmetry_space_group_name_Hall '-I 4 2 3'
loop_
_atom_site_label
_atom_site_fract_x
_atom_site_fract_y
_atom_site_fract_z
Sb1 0.0000 0.2500 0.5000
I1 0.0000 0.0000 0.0000
```


Sm4SbI5: theoretical powder XRD pattern (Cu Kα (λ = 1.5418 Å)), based on a structure optimized by DFT (GGA-PBE).
Lines closer than 0.1° are merged.

Peak list (6 most intense, 10° ≤ 2θ ≤ 80°, low angle first)
hkl 6 0 0, 2θ = 28.18°, d = 3.166 Å, I = 50; hkl 1 1 -2, 2θ = 28.36°, d = 3.147 Å, I = 100; hkl 2 0 -4, 2θ = 39.62°, d = 2.275 Å, I = 19; hkl 5 1 2, 2θ = 40.02°, d = 2.253 Å, I = 38; hkl 7 1 -2, 2θ = 40.81°, d = 2.211 Å, I = 35; hkl 6 2 0, 2θ = 50.88°, d = 1.795 Å, I = 19

```
data_Sm4SbI5
_chemical_formula_sum 'Sm8 Sb2 I10'
_cell_length_a 19.4231
_cell_length_b 4.3563
_cell_length_c 9.1026
_cell_angle_alpha 90.00
_cell_angle_beta 102.00
_cell_angle_gamma 90.00
_symmetry_space_group_name_H-M 'C 1 2/m 1'
_symmetry_Int_Tables_number 12
loop_
_symmetry_equiv_pos_as_xyz
'x,y,z'
'-x,-y,-z'
'-x,y,-z'
'x,-y,z'
'x+1/2,y+1/2,z'
'-x+1/2,-y+1/2,-z'
'-x+1/2,y+1/2,-z'
'x+1/2,-y+1/2,z'
loop_
_atom_site_label
_atom_site_fract_x
_atom_site_fract_y
_atom_site_fract_z
Sm1 0.0004 0.0000 0.2252
Sm2 0.1550 0.5000 0.0728
Sb1 0.0000 0.5000 0.0000
I1 0.0000 0.5000 0.5000
I2 0.1672 0.0000 0.3304
I3 0.1713 0.0000 0.8224
```


Sn3Sb3I: theoretical powder XRD pattern (Cu Kα (λ = 1.5418 Å)), based on a structure optimized by DFT (GGA-PBE).
Lines closer than 0.1° are merged.

Peak list (6 most intense, 10° ≤ 2θ ≤ 80°, low angle first)
hkl 2 0 0, 2θ = 21.47°, d = 4.138 Å, I = 41; hkl 2 1 1, 2θ = 26.38°, d = 3.379 Å, I = 100; hkl 2 2 2, 2θ = 37.65°, d = 2.389 Å, I = 35; hkl 3 2 1, 2θ = 40.80°, d = 2.212 Å, I = 63; hkl 4 0 0, 2θ = 43.75°, d = 2.069 Å, I = 35; hkl 4 4 0, 2θ = 63.60°, d = 1.463 Å, I = 23

```
data_Sn3Sb3I
_chemical_formula_sum 'Sn6 Sb6 I2'
_cell_length_a 8.2758
_cell_length_b 8.2758
_cell_length_c 8.2758
_cell_angle_alpha 90.00
_cell_angle_beta 90.00
_cell_angle_gamma 90.00
_symmetry_space_group_name_H-M 'P m -3 n'
_symmetry_Int_Tables_number 223
_symmetry_space_group_name_Hall '-P 4n 2 3'
loop_
_atom_site_label
_atom_site_fract_x
_atom_site_fract_y
_atom_site_fract_z
Sn1 0.0000 0.2500 0.5000
Sb1 0.0000 0.5000 0.2500
I1 0.0000 0.0000 0.0000
```


SnSbI: theoretical powder XRD pattern (Cu Kα (λ = 1.5418 Å)), based on a structure optimized by DFT (GGA-PBE).
Lines closer than 0.1° are merged.

Peak list (6 most intense, 10° ≤ 2θ ≤ 80°, low angle first)
hkl 1 1 1, 2θ = 24.81°, d = 3.589 Å, I = 100; hkl 1 4 0, 2θ = 25.06°, d = 3.553 Å, I = 88; hkl 1 2 1, 2θ = 26.43°, d = 3.373 Å, I = 54; hkl 1 3 1, 2θ = 28.94°, d = 3.085 Å, I = 80; hkl 2 3 1, 2θ = 37.99°, d = 2.369 Å, I = 62; hkl 0 7 1, 2θ = 42.17°, d = 2.143 Å, I = 60

```
data_SnSbI
_chemical_formula_sum 'Sn4 Sb4 I4'
_cell_length_a 6.4036
_cell_length_b 17.0832
_cell_length_c 4.4798
_cell_angle_alpha 90.00
_cell_angle_beta 90.00
_cell_angle_gamma 90.00
_symmetry_space_group_name_H-M 'P n n m'
_symmetry_Int_Tables_number 58
loop_
_symmetry_equiv_pos_as_xyz
'x,y,z'
'-x,-y,-z'
'-x,-y,z'
'x,y,-z'
'x+1/2,-y+1/2,-z+1/2'
'-x+1/2,y+1/2,z+1/2'
'-x+1/2,y+1/2,-z+1/2'
'x+1/2,-y+1/2,z+1/2'
loop_
_atom_site_label
_atom_site_fract_x
_atom_site_fract_y
_atom_site_fract_z
Sn1 0.0168 0.2053 0.0000
Sb1 0.2309 0.6537 0.0000
I1 0.2208 0.4174 0.5000
```